Diffraction record for LiH. The powder XRD pattern is calculated, not measured: it uses the GGA-PBE geometry in the Materials Project and a wavelength of 1.5418 Å.
Neutral-atom scattering factors, no anomalous dispersion.

Principal peaks in the range 10 to 80 degrees two-theta, sorted by position:
- 2θ = 39.0°, I 76, hkl 1 1 1
- 2θ = 45.3°, I 100, hkl 2 0 0
- 2θ = 66.1°, I 55, hkl 2 2 0
- 2θ = 79.5°, I 38, hkl 3 1 1

Crystal structure
```
data_LiH
_symmetry_space_group_name_H-M 'F m -3 m'
_symmetry_Int_Tables_number 225
_symmetry_space_group_name_Hall '-F 4 2 3'
_cell_length_a 4.0002
_cell_length_b 4.0002
_cell_length_c 4.0002
_cell_angle_alpha 90.00
_cell_angle_beta 90.00
_cell_angle_gamma 90.00
loop_
_atom_site_label
_atom_site_fract_x
_atom_site_fract_y
_atom_site_fract_z
_atom_site_occupancy
Li1 0.0000 0.0000 0.0000 1
H1 0.0000 0.0000 0.5000 1
```



Diffraction record for Li2MgH4. The powder XRD pattern is calculated, not measured: it uses the GGA-PBE geometry in the Materials Project and a wavelength of 1.5418 Å.
Neutral-atom scattering factors, no anomalous dispersion.

Principal peaks in the range 10 to 80 degrees two-theta, sorted by position:
- 2θ = 19.1°, I 24, hkl 0 2 0
- 2θ = 20.4°, I 100, hkl 1 1 0
- 2θ = 34.2°, I 44, hkl 1 3 0
- 2θ = 36.3°, I 37, hkl 0 2 1
- 2θ = 36.5°, I 17, hkl 2 0 0
- 2θ = 37.0°, I 53, hkl 1 1 1
- 2θ = 38.7°, I 13, hkl 0 4 0
- 2θ = 46.5°, I 12, hkl 1 3 1
- 2θ = 52.4°, I 32, hkl 2 2 1
- 2θ = 62.1°, I 19, hkl 1 5 1

Crystal structure
```
data_Li2MgH4
_symmetry_space_group_name_H-M 'P b a m'
_symmetry_Int_Tables_number 55
_symmetry_space_group_name_Hall '-P 2 2ab'
_cell_length_a 4.9236
_cell_length_b 9.3005
_cell_length_c 2.9249
_cell_angle_alpha 90.00
_cell_angle_beta 90.00
_cell_angle_gamma 90.00
loop_
_atom_site_label
_atom_site_fract_x
_atom_site_fract_y
_atom_site_fract_z
_atom_site_occupancy
Li1 0.0176 0.2105 0.0000 1
Mg1 0.0000 0.5000 0.5000 1
H1 0.2060 0.4129 0.0000 1
H2 0.2179 0.6770 0.5000 1
```



Diffraction record for Li4MgH3N3. The powder XRD pattern is calculated, not measured: it uses the GGA-PBE geometry in the Materials Project and a wavelength of 1.5418 Å.
Neutral-atom scattering factors, no anomalous dispersion.

Principal peaks in the range 10 to 80 degrees two-theta, sorted by position:
- 2θ = 16.6°, I 21, hkl 0 2 0
- 2θ = 20.3°, I 72, hkl 0 1 1
- 2θ = 30.6°, I 86, hkl 1 0 1
- 2θ = 31.2°, I 100, hkl 0 3 1
- 2θ = 34.9°, I 26, hkl 1 2 1
- 2θ = 45.9°, I 24, hkl 1 4 1
- 2θ = 49.4°, I 34, hkl 2 0 0
- 2θ = 51.2°, I 27, hkl 0 6 0
- 2θ = 52.2°, I 97, hkl 1 3 2
- 2θ = 59.6°, I 20, hkl 2 3 1

Crystal structure
```
data_Li4MgH3N3
_symmetry_space_group_name_H-M 'I m m 2'
_symmetry_Int_Tables_number 44
_symmetry_space_group_name_Hall 'I 2 -2'
_cell_length_a 3.6894
_cell_length_b 10.7042
_cell_length_c 4.8039
_cell_angle_alpha 90.00
_cell_angle_beta 90.00
_cell_angle_gamma 90.00
loop_
_atom_site_label
_atom_site_fract_x
_atom_site_fract_y
_atom_site_fract_z
_atom_site_occupancy
Li1 0.0000 0.1721 0.0000 1
Li2 0.0000 0.1808 0.4996 1
Mg1 0.0000 0.5000 0.5237 1
H1 0.0000 0.0000 0.4397 1
H2 0.0000 0.3933 0.0962 1
N1 0.0000 0.0000 0.2256 1
N2 0.0000 0.3328 0.2642 1
```



Diffraction record for Li2MgH2N2. The powder XRD pattern is calculated, not measured: it uses the GGA-PBE geometry in the Materials Project and a wavelength of 1.5418 Å.
Neutral-atom scattering factors, no anomalous dispersion.

Principal peaks in the range 10 to 80 degrees two-theta, sorted by position:
- 2θ = 18.2°, I 96, hkl 0 2 0
- 2θ = 26.0°, I 72, hkl 1 1 1
- 2θ = 30.5°, I 100, hkl 1 2 1
- 2θ = 36.9°, I 32, hkl 1 3 1
- 2θ = 39.0°, I 14, hkl 0 2 2
- 2θ = 39.6°, I 13, hkl 2 2 0
- 2θ = 49.7°, I 51, hkl 2 0 2
- 2θ = 51.2°, I 41, hkl 0 4 2
- 2θ = 51.6°, I 38, hkl 2 4 0
- 2θ = 53.4°, I 20, hkl 2 2 2

Crystal structure
```
data_Li2MgH2N2
_symmetry_space_group_name_H-M 'P b c n'
_symmetry_Int_Tables_number 60
_symmetry_space_group_name_Hall '-P 2n 2ab'
_cell_length_a 5.1368
_cell_length_b 9.7679
_cell_length_c 5.2360
_cell_angle_alpha 90.00
_cell_angle_beta 90.00
_cell_angle_gamma 90.00
loop_
_atom_site_label
_atom_site_fract_x
_atom_site_fract_y
_atom_site_fract_z
_atom_site_occupancy
Li1 0.0000 0.0119 0.2500 1
Li2 0.0000 0.2543 0.2500 1
Mg1 0.0000 0.2613 0.7500 1
H1 0.1668 0.4431 0.0501 1
N1 0.2281 0.1427 0.4972 1
```